No. 1
# Er9Fe10Ge10
Theoretical powder XRD pattern, a wavelength of 1.5418 Å. Input: a GGA-PBE-relaxed structure.

Peak list (12 most intense, 10° ≤ 2θ ≤ 80°, most intense first)
hkl	two_theta	Rel. int.
1 3 4	36.73	1000
0 4 4	37.22	886
1 4 1	32.34	869
1 0 5	36.13	806
2 1 3	39.45	723
2 3 1	39.94	612
2 0 0	33.58	538
0 0 6	38.47	512
1 4 5	45.55	379
0 6 0	40.68	346
2 7 3	63.25	344
1 3 2	29.10	283

Crystal structure
Unit cell a=5.337 b=13.308 c=14.049 alpha=90.00 beta=90.00 gamma=90.00
Space group Immm (No. 71)
Unique sites:
Er 0.000 0.000 0.000 [2 per cell]
Er 0.000 0.148 0.364 [8 per cell]
Er 0.000 0.278 0.000 [4 per cell]
Er 0.000 0.500 0.198 [4 per cell]
Fe 0.000 0.500 0.405 [4 per cell]
Fe 0.243 0.356 0.345 [16 per cell]
Ge 0.000 0.000 0.208 [4 per cell]
Ge 0.000 0.288 0.205 [8 per cell]
Ge 0.000 0.330 0.500 [4 per cell]
Ge 0.248 0.500 0.000 [4 per cell]



No. 2
# Li3GaHg
Theoretical powder XRD pattern, a wavelength of 1.5418 Å. Input: a GGA-PBE-relaxed structure.

Peak list (12 most intense, 10° ≤ 2θ ≤ 80°, most intense first)
hkl	two_theta	Rel. int.
1 1 0	26.26	1000
0 0 1	12.52	782
0 0 2	25.19	536
1 0 -1	18.96	530
1 1 2	39.70	520
2 1 -1	40.06	366
1 1 -1	27.23	321
0 2 0	39.31	270
1 1 -2	33.49	224
0 2 2	47.26	203
1 0 -3	38.01	196
1 1 1	31.04	196

Crystal structure
Unit cell a=5.204 b=4.584 c=7.289 alpha=90.00 beta=104.05 gamma=90.00
Space group P2_1/m (No. 11)
Unique sites:
Li 0.058 0.250 0.313 [2 per cell]
Li 0.267 0.250 0.722 [2 per cell]
Li 0.441 0.250 0.123 [2 per cell]
Ga 0.135 0.750 0.067 [2 per cell]
Hg 0.309 0.750 0.473 [2 per cell]



No. 3
# Tb3ThMg4
Theoretical powder XRD pattern, a wavelength of 1.5418 Å. Input: a GGA-PBE-relaxed structure.

Peak list (12 most intense, 10° ≤ 2θ ≤ 80°, most intense first)
hkl	two_theta	Rel. int.
1 1 2	33.26	1000
1 0 0	23.35	665
2 2 0	59.44	380
2 1 2	53.81	288
1 2 0	41.04	208
2 0 0	47.75	182
3 1 2	79.58	163
3 0 0	74.77	138
0 4 0	69.84	117
0 0 2	16.46	11
0 1 3	29.90	10
1 0 1	24.79	7

Crystal structure
Unit cell a=3.811 b=5.389 c=10.766 alpha=90.00 beta=90.00 gamma=90.00
Space group Pmmm (No. 47)
Unique sites:
Tb 0.000 0.000 0.000 [1 per cell]
Tb 0.000 0.500 0.253 [2 per cell]
Th 0.000 0.000 0.500 [1 per cell]
Mg 0.500 0.000 0.245 [2 per cell]
Mg 0.500 0.500 0.000 [1 per cell]
Mg 0.500 0.500 0.500 [1 per cell]



No. 4
# Ni5MoPt8
Theoretical powder XRD pattern, a wavelength of 1.5418 Å. Input: a GGA-PBE-relaxed structure.

Peak list (12 most intense, 10° ≤ 2θ ≤ 80°, most intense first)
hkl	two_theta	Rel. int.
3 1 0	38.27	1000
2 1 1	29.37	705
1 2 3	45.30	652
3 1 2	45.50	562
1 0 3	37.87	528
2 3 1	45.63	442
2 4 2	60.94	247
4 3 1	63.83	204
5 2 3	79.22	190
3 1 4	63.33	165
2 2 2	41.94	149
1 6 1	79.43	137

Crystal structure
Unit cell a=7.433 b=7.433 c=7.522 alpha=90.00 beta=90.00 gamma=90.00
Space group I-4 (No. 82)
Unique sites:
Ni 0.000 0.000 0.000 [2 per cell]
Ni 0.114 0.202 0.414 [8 per cell]
Mo 0.000 0.500 0.750 [2 per cell]
Pt 0.067 0.334 0.077 [8 per cell]
Pt 0.106 0.177 0.746 [8 per cell]



No. 5
# Pr3Ho2Hg4
Theoretical powder XRD pattern, a wavelength of 1.5418 Å. Input: a GGA-PBE-relaxed structure.

Peak list (12 most intense, 10° ≤ 2θ ≤ 80°, most intense first)
hkl	two_theta	Rel. int.
2 0 2	34.31	1000
2 2 1	29.63	692
0 6 2	35.53	480
1 7 1	36.46	464
0 2 3	34.86	460
1 5 1	28.51	453
2 6 0	37.97	317
2 6 4	60.57	287
4 0 0	53.07	253
2 12 2	67.77	180
2 4 0	31.73	177
4 6 2	65.50	164

Crystal structure
Unit cell a=6.903 b=19.553 c=8.002 alpha=90.00 beta=90.00 gamma=90.00
Space group Cmce (No. 64)
Unique sites:
Pr 0.000 0.000 0.000 [4 per cell]
Pr 0.250 0.240 0.250 [8 per cell]
Ho 0.000 0.093 0.585 [8 per cell]
Hg 0.000 0.157 0.958 [8 per cell]
Hg 0.250 0.076 0.250 [8 per cell]



No. 6
# Pm6InP2Se3
Theoretical powder XRD pattern, a wavelength of 1.5418 Å. Input: a GGA-PBE-relaxed structure.

Peak list (12 most intense, 10° ≤ 2θ ≤ 80°, most intense first)
hkl	two_theta	Rel. int.
1 1 -2	29.87	1000
7 1 -2	42.74	486
8 2 -4	70.34	155
6 2 0	53.55	129
2 0 -4	42.13	128
8 0 -4	52.49	125
0 2 0	43.38	122
2 2 -4	62.05	118
3 1 0	26.03	118
4 0 -2	25.55	117
7 3 -2	79.16	79
1 3 -2	71.30	55

Crystal structure
Unit cell a=18.475 b=4.172 c=8.578 alpha=90.00 beta=103.53 gamma=90.00
Space group C2/m (No. 12)
Unique sites:
Pm 0.005 0.000 0.264 [4 per cell]
Pm 0.171 0.500 0.101 [4 per cell]
Pm 0.172 0.500 0.572 [4 per cell]
In 0.000 0.500 0.000 [2 per cell]
P 0.168 0.000 0.336 [4 per cell]
Se 0.000 0.500 0.500 [2 per cell]
Se 0.166 0.000 0.831 [4 per cell]



No. 7
# Nd6DyHo
Theoretical powder XRD pattern, a wavelength of 1.5418 Å. Input: a GGA-PBE-relaxed structure.

Peak list (12 most intense, 10° ≤ 2θ ≤ 80°, most intense first)
hkl	two_theta	Rel. int.
2 2 0	29.96	1000
0 2 4	30.07	990
2 0 4	34.70	678
2 4 4	50.09	600
0 4 0	34.99	331
4 2 4	59.23	290
2 2 8	59.41	287
2 6 0	59.71	283
4 4 0	62.27	125
0 4 8	62.50	123
4 0 0	49.75	123
4 0 8	73.22	77

Crystal structure
Unit cell a=7.331 b=10.257 c=14.587 alpha=90.00 beta=90.00 gamma=90.00
Space group Fmmm (No. 69)
Unique sites:
Nd 0.000 0.000 0.250 [8 per cell]
Nd 0.250 0.250 0.123 [16 per cell]
Dy 0.000 0.000 0.000 [4 per cell]
Ho 0.000 0.000 0.500 [4 per cell]



No. 8
# Nb2ZnO6
Theoretical powder XRD pattern, a wavelength of 1.5418 Å. Input: a GGA-PBE-relaxed structure.

Peak list (12 most intense, 10° ≤ 2θ ≤ 80°, most intense first)
hkl	two_theta	Rel. int.
1 1 1	27.83	1000
3 0 2	53.28	466
3 0 0	35.11	359
0 2 1	30.22	286
2 2 1	45.38	179
3 2 1	55.88	174
2 1 1	36.54	134
3 3 0	62.98	122
1 4 1	58.63	121
2 1 0	30.85	109
3 0 1	40.27	103
1 1 3	63.64	89

Crystal structure
Unit cell a=8.8552 b=8.8552 c=4.6472 alpha=90.00 beta=90.00 gamma=120.00
Space group P321 (No. 150)
Unique sites:
Nb 0.0000 0.3693 0.0000 [3 per cell]
Nb 0.0000 0.7040 0.5000 [3 per cell]
Zn 0.0000 0.0000 0.0000 [1 per cell]
Zn 0.3333 0.6667 0.5181 [2 per cell]
O 0.1012 0.5584 0.2608 [6 per cell]
O 0.1102 0.2292 0.2386 [6 per cell]
O 0.2099 0.4293 0.7447 [6 per cell]



No. 9
# TmAl2GaPt4
Theoretical powder XRD pattern, a wavelength of 1.5418 Å. Input: a GGA-PBE-relaxed structure.

Peak list (12 most intense, 10° ≤ 2θ ≤ 80°, most intense first)
hkl	two_theta	Rel. int.
1 1 0	42.03	1000
0 1 8	37.28	717
1 0 7	34.57	466
1 0 4	27.80	397
1 1 15	70.99	275
0 1 2	24.93	249
0 1 11	46.37	246
2 0 8	57.42	207
1 2 8	73.67	198
0 1 5	29.78	186
3 0 0	76.80	173
1 0 10	43.20	123

Crystal structure
Unit cell a=4.2992 b=4.2992 c=25.3263 alpha=90.00 beta=90.00 gamma=120.00
Space group R-3m (No. 166, hexagonal axes)
Unique sites:
Tm 0.0000 0.0000 0.0000 [3 per cell]
Al 0.0000 0.0000 0.2463 [6 per cell]
Ga 0.0000 0.0000 0.5000 [3 per cell]
Pt 0.0000 0.0000 0.1330 [6 per cell]
Pt 0.0000 0.0000 0.4002 [6 per cell]



No. 10
# KIn5Sn2
Theoretical powder XRD pattern, a wavelength of 1.5418 Å. Input: a GGA-PBE-relaxed structure.

Peak list (12 most intense, 10° ≤ 2θ ≤ 80°, most intense first)
hkl	two_theta	Rel. int.
1 3 0	33.76	1000
1 0 3	30.73	936
1 2 1	27.65	742
0 2 4	37.46	639
0 1 1	12.18	552
1 1 4	38.83	529
2 2 4	54.47	505
2 0 0	38.08	487
0 3 3	37.12	370
1 5 4	61.88	312
2 3 3	54.22	310
0 0 2	16.00	213

Crystal structure
Unit cell a=4.726 b=9.627 c=11.079 alpha=90.00 beta=90.00 gamma=90.00
Space group Immm (No. 71)
Unique sites:
K 0.000 0.000 0.000 [2 per cell]
In 0.000 0.189 0.355 [8 per cell]
In 0.000 0.500 0.000 [2 per cell]
Sn 0.000 0.500 0.260 [4 per cell]



No. 11
# NbTe2Br
Theoretical powder XRD pattern, a wavelength of 1.5418 Å. Input: a GGA-PBE-relaxed structure.

Peak list (12 most intense, 10° ≤ 2θ ≤ 80°, most intense first)
hkl	two_theta	Rel. int.
0 2 -1	33.24	1000
1 1 2	31.44	761
-1 1 2	32.56	694
0 0 3	25.99	501
-1 1 1	29.52	382
1 1 -3	39.70	380
1 -1 3	41.04	345
1 1 1	28.19	228
0 2 2	33.00	223
1 1 3	36.62	209
1 3 1	51.33	203
0 2 5	50.31	193

Crystal structure
Unit cell a=3.770 b=5.896 c=10.404 alpha=81.32 beta=89.95 gamma=86.79
Space group P-1 (No. 2)
Unique sites:
Nb 0.244 0.249 0.000 [2 per cell]
Te 0.252 0.856 0.187 [2 per cell]
Te 0.254 0.642 0.813 [2 per cell]
Br 0.000 0.000 0.500 [1 per cell]
Br 0.000 0.500 0.500 [1 per cell]



No. 12
# Ac3TcN6
Theoretical powder XRD pattern, a wavelength of 1.5418 Å. Input: a GGA-PBE-relaxed structure.

Peak list (12 most intense, 10° ≤ 2θ ≤ 80°, most intense first)
hkl	two_theta	Rel. int.
1 1 1	27.92	1000
3 1 -1	30.15	898
2 0 -2	28.42	450
0 2 0	30.00	440
2 2 -2	41.80	421
4 2 0	51.89	208
5 1 -3	52.78	204
1 1 -3	48.59	196
3 3 -1	53.36	194
4 0 0	41.31	193
1 3 1	52.00	180
1 1 -2	32.87	131

Crystal structure
Unit cell a=10.254 b=5.957 c=6.319 alpha=90.00 beta=121.51 gamma=90.00
Space group C2/m (No. 12)
Unique sites:
Ac 0.000 0.000 0.000 [2 per cell]
Ac 0.237 0.000 0.712 [4 per cell]
Tc 0.000 0.500 0.500 [2 per cell]
N 0.068 0.266 0.352 [8 per cell]
N 0.211 0.500 0.817 [4 per cell]



Copy entry 3 word for word.
# Tb3ThMg4
Theoretical powder XRD pattern, a wavelength of 1.5418 Å. Input: a GGA-PBE-relaxed structure.

Peak list (12 most intense, 10° ≤ 2θ ≤ 80°, most intense first)
hkl	two_theta	Rel. int.
1 1 2	33.26	1000
1 0 0	23.35	665
2 2 0	59.44	380
2 1 2	53.81	288
1 2 0	41.04	208
2 0 0	47.75	182
3 1 2	79.58	163
3 0 0	74.77	138
0 4 0	69.84	117
0 0 2	16.46	11
0 1 3	29.90	10
1 0 1	24.79	7

Crystal structure
Unit cell a=3.811 b=5.389 c=10.766 alpha=90.00 beta=90.00 gamma=90.00
Space group Pmmm (No. 47)
Unique sites:
Tb 0.000 0.000 0.000 [1 per cell]
Tb 0.000 0.500 0.253 [2 per cell]
Th 0.000 0.000 0.500 [1 per cell]
Mg 0.500 0.000 0.245 [2 per cell]
Mg 0.500 0.500 0.000 [1 per cell]
Mg 0.500 0.500 0.500 [1 per cell]



Please write out number 5 again, unchanged.
# Pr3Ho2Hg4
Theoretical powder XRD pattern, a wavelength of 1.5418 Å. Input: a GGA-PBE-relaxed structure.

Peak list (12 most intense, 10° ≤ 2θ ≤ 80°, most intense first)
hkl	two_theta	Rel. int.
2 0 2	34.31	1000
2 2 1	29.63	692
0 6 2	35.53	480
1 7 1	36.46	464
0 2 3	34.86	460
1 5 1	28.51	453
2 6 0	37.97	317
2 6 4	60.57	287
4 0 0	53.07	253
2 12 2	67.77	180
2 4 0	31.73	177
4 6 2	65.50	164

Crystal structure
Unit cell a=6.903 b=19.553 c=8.002 alpha=90.00 beta=90.00 gamma=90.00
Space group Cmce (No. 64)
Unique sites:
Pr 0.000 0.000 0.000 [4 per cell]
Pr 0.250 0.240 0.250 [8 per cell]
Ho 0.000 0.093 0.585 [8 per cell]
Hg 0.000 0.157 0.958 [8 per cell]
Hg 0.250 0.076 0.250 [8 per cell]